Starting from a cell relaxed with PBE, the X-ray diffraction stick pattern of Ba2CaP4H6O16 was calculated for copper Kα.

Structure:
abc: 5.5538 10.4744 12.4028
angles: 90.00 100.43 90.00
Space group P2_1/c (No. 14)
Unique sites:
Ba 0.1442 0.1591 0.3264
Ca 0.0000 0.0000 0.0000
P 0.2344 0.6982 0.9439
P 0.4124 0.0068 0.7974
H 0.2953 0.5408 0.0644
H 0.3824 0.6711 0.7581
H 0.4402 0.1811 0.0645
O 0.0721 0.7251 0.5066
O 0.1627 0.6984 0.8194
O 0.1786 0.0082 0.8460
O 0.2402 0.5523 0.9806
O 0.3659 0.0562 0.1270
O 0.3748 0.5612 0.1852
O 0.4733 0.1543 0.7809
O 0.4853 0.2412 0.5221

Main lines, by intensity (15° ≤ 2θ ≤ 90°):
h k l, 2θ/deg, I/Imax
1 3 1, 32.00, 100
0 1 4, 30.54, 76
1 0 2, 23.75, 71
0 2 1, 18.44, 68
1 1 2, 25.25, 67
2 1 -1, 33.42, 64